# Ag3O4
Calculated powder XRD pattern, copper Kα. Input: a cell relaxed with GGA-PBE.
Intensities are scaled so that the largest is 100.

```
data_Ag3O4
_symmetry_space_group_name_H-M 'P 1'
_symmetry_Int_Tables_number 1
_cell_length_a 3.7720
_cell_length_b 9.3480
_cell_length_c 5.7457
_cell_angle_alpha 90.00
_cell_angle_beta 104.23
_cell_angle_gamma 90.00
loop_
_symmetry_equiv_pos_as_xyz
'x,y,z'
loop_
_atom_site_label
_atom_site_fract_x
_atom_site_fract_y
_atom_site_fract_z
_atom_site_occupancy
Ag1 0.0000 0.0000 0.0000 1
Ag2 0.0000 0.5000 0.5000 1
Ag3 0.2939 0.1417 0.5510 1
Ag4 0.2939 0.3583 0.0510 1
Ag5 0.7061 0.6417 0.9490 1
Ag6 0.7061 0.8583 0.4490 1
O1 0.0527 0.1920 0.8310 1
O2 0.0527 0.3080 0.3310 1
O3 0.4678 0.0431 0.2711 1
O4 0.4678 0.4569 0.7711 1
O5 0.5322 0.5431 0.2289 1
O6 0.5322 0.9569 0.7289 1
O7 0.9473 0.6920 0.6690 1
O8 0.9473 0.8080 0.1690 1
```

Largest 8 diffraction maxima, sorted by position, 2θ = 10–90°:
d_spacing  I/Imax
3.405  74
3.256  29
2.786  82
2.719  100
2.648  45
2.448  29
2.376  46
1.842  20

=====

# AgO
Calculated powder XRD pattern, copper Kα. Input: a cell relaxed with GGA-PBE.
Intensities are scaled so that the largest is 100.

```
data_AgO
_symmetry_space_group_name_H-M 'P 1'
_symmetry_Int_Tables_number 1
_cell_length_a 6.8021
_cell_length_b 6.8021
_cell_length_c 6.8021
_cell_angle_alpha 118.52
_cell_angle_beta 118.52
_cell_angle_gamma 92.58
loop_
_symmetry_equiv_pos_as_xyz
'x,y,z'
loop_
_atom_site_label
_atom_site_fract_x
_atom_site_fract_y
_atom_site_fract_z
_atom_site_occupancy
Ag1 0.0000 0.0000 0.0000 1
Ag2 0.0000 0.0000 0.5000 1
Ag3 0.0000 0.5000 0.0000 1
Ag4 0.0000 0.5000 0.5000 1
Ag5 0.5000 0.0000 0.0000 1
Ag6 0.5000 0.0000 0.5000 1
Ag7 0.5000 0.5000 0.0000 1
Ag8 0.5000 0.5000 0.5000 1
O1 0.2035 0.7952 0.9218 1
O2 0.2183 0.2965 0.0917 1
O3 0.2952 0.8734 0.5917 1
O4 0.3734 0.2817 0.5782 1
O5 0.6266 0.7183 0.4218 1
O6 0.7048 0.1266 0.4083 1
O7 0.7817 0.7035 0.9083 1
O8 0.7965 0.2048 0.0782 1
```

Largest 8 diffraction maxima, sorted by position, 2θ = 10–90°:
d_spacing  I/Imax
2.795  100
2.458  49
2.350  22
1.738  15
1.699  28
1.476  33
1.428  14
1.398  14

=====

# AgO
Calculated powder XRD pattern, copper Kα. Input: a cell relaxed with GGA-PBE.
Intensities are scaled so that the largest is 100.

```
data_AgO
_symmetry_space_group_name_H-M 'P 1'
_symmetry_Int_Tables_number 1
_cell_length_a 3.2989
_cell_length_b 3.2989
_cell_length_c 5.6457
_cell_angle_alpha 93.32
_cell_angle_beta 93.32
_cell_angle_gamma 80.73
loop_
_symmetry_equiv_pos_as_xyz
'x,y,z'
loop_
_atom_site_label
_atom_site_fract_x
_atom_site_fract_y
_atom_site_fract_z
_atom_site_occupancy
Ag1 0.0000 0.5000 0.0000 1
Ag2 0.5000 0.0000 0.5000 1
O1 0.0248 0.9752 0.7500 1
O2 0.9752 0.0248 0.2500 1
```

Largest 8 diffraction maxima, sorted by position, 2θ = 10–90°:
d_spacing  I/Imax
2.878  100
2.815  36
2.758  98
2.506  26
1.947  21
1.702  26
1.661  20
1.626  22

=====

# AgO
Calculated powder XRD pattern, copper Kα. Input: a cell relaxed with GGA-PBE.
Intensities are scaled so that the largest is 100.

```
data_AgO
_symmetry_space_group_name_H-M 'P 1'
_symmetry_Int_Tables_number 1
_cell_length_a 3.5829
_cell_length_b 3.5829
_cell_length_c 3.5829
_cell_angle_alpha 60.00
_cell_angle_beta 60.00
_cell_angle_gamma 60.00
loop_
_symmetry_equiv_pos_as_xyz
'x,y,z'
loop_
_atom_site_label
_atom_site_fract_x
_atom_site_fract_y
_atom_site_fract_z
_atom_site_occupancy
Ag1 0.0000 0.0000 0.0000 1
O1 0.2500 0.2500 0.2500 1
```

Largest 8 diffraction maxima, sorted by position, 2θ = 10–90°:
d_spacing  I/Imax
2.925  100
2.534  36
1.791  42
1.528  39
1.463  9
1.267  6
1.162  16
1.133  12

=====

# AgO
Calculated powder XRD pattern, copper Kα. Input: a cell relaxed with GGA-PBE.
Intensities are scaled so that the largest is 100.

```
data_AgO
_symmetry_space_group_name_H-M 'P 1'
_symmetry_Int_Tables_number 1
_cell_length_a 3.2939
_cell_length_b 3.2939
_cell_length_c 5.5953
_cell_angle_alpha 93.48
_cell_angle_beta 93.48
_cell_angle_gamma 86.04
loop_
_symmetry_equiv_pos_as_xyz
'x,y,z'
loop_
_atom_site_label
_atom_site_fract_x
_atom_site_fract_y
_atom_site_fract_z
_atom_site_occupancy
Ag1 0.0000 0.5000 0.0000 1
Ag2 0.5000 0.0000 0.5000 1
O1 0.0226 0.9774 0.7500 1
O2 0.9774 0.0226 0.2500 1
```

Largest 8 diffraction maxima, sorted by position, 2θ = 10–90°:
d_spacing  I/Imax
2.901  100
2.788  34
2.760  95
2.400  22
1.898  19
1.749  42
1.658  19
1.640  22

=====

# AgO
Calculated powder XRD pattern, copper Kα. Input: a cell relaxed with GGA-PBE.
Intensities are scaled so that the largest is 100.

```
data_AgO
_symmetry_space_group_name_H-M 'P 1'
_symmetry_Int_Tables_number 1
_cell_length_a 3.3094
_cell_length_b 3.3094
_cell_length_c 5.5809
_cell_angle_alpha 90.00
_cell_angle_beta 90.00
_cell_angle_gamma 90.33
loop_
_symmetry_equiv_pos_as_xyz
'x,y,z'
loop_
_atom_site_label
_atom_site_fract_x
_atom_site_fract_y
_atom_site_fract_z
_atom_site_occupancy
Ag1 0.0000 0.5000 0.0000 1
Ag2 0.5000 0.0000 0.5000 1
O1 0.0000 0.0000 0.2500 1
O2 0.0000 0.0000 0.7500 1
```

Largest 8 diffraction maxima, sorted by position, 2θ = 10–90°:
d_spacing  I/Imax
2.847  100
2.790  17
1.796  16
1.790  16
1.655  12
1.622  17
1.434  11
1.427  11

=====

# Ag3O
Calculated powder XRD pattern, copper Kα. Input: a cell relaxed with GGA-PBE.
Intensities are scaled so that the largest is 100.

```
data_Ag3O
_symmetry_space_group_name_H-M 'P 1'
_symmetry_Int_Tables_number 1
_cell_length_a 5.4098
_cell_length_b 5.4098
_cell_length_c 5.0434
_cell_angle_alpha 90.00
_cell_angle_beta 90.00
_cell_angle_gamma 120.00
loop_
_symmetry_equiv_pos_as_xyz
'x,y,z'
loop_
_atom_site_label
_atom_site_fract_x
_atom_site_fract_y
_atom_site_fract_z
_atom_site_occupancy
Ag1 0.0000 0.3108 0.2217 1
Ag2 0.0000 0.6892 0.7783 1
Ag3 0.3108 0.0000 0.2217 1
Ag4 0.3108 0.3108 0.7783 1
Ag5 0.6892 0.0000 0.7783 1
Ag6 0.6892 0.6892 0.2217 1
O1 0.3333 0.6667 0.5000 1
O2 0.6667 0.3333 0.5000 1
```

Largest 8 diffraction maxima, sorted by position, 2θ = 10–90°:
d_spacing  I/Imax
2.705  19
2.522  22
2.384  100
1.844  21
1.562  17
1.428  15
1.328  14
1.306  12

=====

# AgO
Calculated powder XRD pattern, copper Kα. Input: a cell relaxed with GGA-PBE.
Intensities are scaled so that the largest is 100.

```
data_AgO
_symmetry_space_group_name_H-M 'P 1'
_symmetry_Int_Tables_number 1
_cell_length_a 5.8615
_cell_length_b 3.6393
_cell_length_c 5.6374
_cell_angle_alpha 90.00
_cell_angle_beta 108.17
_cell_angle_gamma 90.00
loop_
_symmetry_equiv_pos_as_xyz
'x,y,z'
loop_
_atom_site_label
_atom_site_fract_x
_atom_site_fract_y
_atom_site_fract_z
_atom_site_occupancy
Ag1 0.0000 0.0000 0.0000 1
Ag2 0.0000 0.5000 0.5000 1
Ag3 0.5000 0.0000 0.5000 1
Ag4 0.5000 0.5000 0.0000 1
O1 0.2096 0.1664 0.7834 1
O2 0.2096 0.3336 0.2834 1
O3 0.7904 0.6664 0.7166 1
O4 0.7904 0.8336 0.2166 1
```

Largest 8 diffraction maxima, sorted by position, 2θ = 10–90°:
d_spacing  I/Imax
2.867  100
2.785  40
2.678  36
2.473  88
2.326  37
1.721  26
1.670  23
1.433  18

=====

# AgOs2O6
Calculated powder XRD pattern, copper Kα. Input: a cell relaxed with GGA-PBE.
Intensities are scaled so that the largest is 100.

```
data_AgOs2O6
_symmetry_space_group_name_H-M 'P 1'
_symmetry_Int_Tables_number 1
_cell_length_a 7.2251
_cell_length_b 7.2251
_cell_length_c 7.2251
_cell_angle_alpha 119.65
_cell_angle_beta 90.42
_cell_angle_gamma 119.86
loop_
_symmetry_equiv_pos_as_xyz
'x,y,z'
loop_
_atom_site_label
_atom_site_fract_x
_atom_site_fract_y
_atom_site_fract_z
_atom_site_occupancy
Ag1 0.2214 0.2500 0.4714 1
Ag2 0.7786 0.7500 0.5286 1
Os1 0.2947 0.2947 0.0000 1
Os2 0.2947 0.7947 0.5000 1
Os3 0.3038 0.8015 0.0023 1
Os4 0.7991 0.3015 0.9977 1
O1 0.2143 0.0386 0.6758 1
O2 0.2219 0.0452 0.0741 1
O3 0.2219 0.6478 0.6767 1
O4 0.3533 0.5440 0.9426 1
O5 0.3533 0.9107 0.3093 1
O6 0.3628 0.5386 0.3242 1
O7 0.6014 0.0440 0.6907 1
O8 0.6014 0.4107 0.0574 1
O9 0.6046 0.0472 0.0574 1
O10 0.9711 0.1478 0.9259 1
O11 0.9711 0.5452 0.3233 1
O12 0.9898 0.5472 0.9426 1
```

Largest 8 diffraction maxima, sorted by position, 2θ = 10–90°:
d_spacing  I/Imax
5.902  65
3.091  27
3.073  13
2.953  100
2.564  25
1.806  25
1.546  14
1.544  12

=====

# AgPO4
Calculated powder XRD pattern, copper Kα. Input: a cell relaxed with GGA-PBE.
Intensities are scaled so that the largest is 100.

```
data_AgPO4
_symmetry_space_group_name_H-M 'P 1'
_symmetry_Int_Tables_number 1
_cell_length_a 5.1079
_cell_length_b 9.7410
_cell_length_c 15.4186
_cell_angle_alpha 95.45
_cell_angle_beta 99.51
_cell_angle_gamma 105.16
loop_
_symmetry_equiv_pos_as_xyz
'x,y,z'
loop_
_atom_site_label
_atom_site_fract_x
_atom_site_fract_y
_atom_site_fract_z
_atom_site_occupancy
Ag1 0.0000 0.0000 0.0000 1
Ag2 0.0000 0.5000 0.5000 1
Ag3 0.3835 0.2297 0.5274 1
Ag4 0.3847 0.7319 0.0277 1
Ag5 0.4188 0.7488 0.2499 1
Ag6 0.5812 0.2512 0.7501 1
Ag7 0.6153 0.2681 0.9723 1
Ag8 0.6165 0.7703 0.4726 1
P1 0.1037 0.9123 0.3826 1
P2 0.1901 0.4126 0.8832 1
P3 0.3828 0.4328 0.3673 1
P4 0.4192 0.9330 0.8666 1
P5 0.5808 0.0670 0.1334 1
P6 0.6172 0.5672 0.6327 1
P7 0.8099 0.5874 0.1168 1
P8 0.8963 0.0877 0.6174 1
O1 0.0132 0.6020 0.2058 1
O2 0.0819 0.3118 0.9478 1
O3 0.0922 0.3922 0.3957 1
O4 0.1699 0.8071 0.4463 1
O5 0.1993 0.8932 0.2934 1
O6 0.2160 0.0726 0.4174 1
O7 0.2254 0.1228 0.6356 1
O8 0.2563 0.8919 0.9454 1
O9 0.2736 0.5757 0.9163 1
O10 0.2753 0.8652 0.7739 1
O11 0.3078 0.1074 0.1059 1
O12 0.3755 0.3650 0.2752 1
O13 0.4193 0.6121 0.5564 1
O14 0.4607 0.3728 0.8637 1
O15 0.4703 0.1008 0.8670 1
O16 0.4947 0.6006 0.3687 1
O17 0.5053 0.3994 0.6313 1
O18 0.5297 0.8992 0.1330 1
O19 0.5393 0.6272 0.1363 1
O20 0.5807 0.3879 0.4436 1
O21 0.6245 0.6350 0.7248 1
O22 0.6922 0.8926 0.8941 1
O23 0.7247 0.1348 0.2261 1
O24 0.7264 0.4243 0.0837 1
O25 0.7437 0.1081 0.0546 1
O26 0.7746 0.8772 0.3644 1
O27 0.7840 0.9274 0.5826 1
O28 0.8007 0.1068 0.7066 1
O29 0.8301 0.1929 0.5537 1
O30 0.9078 0.6078 0.6043 1
O31 0.9181 0.6882 0.0522 1
O32 0.9868 0.3980 0.7942 1
```

Largest 8 diffraction maxima, sorted by position, 2θ = 10–90°:
d_spacing  I/Imax
7.523  76
7.444  100
4.832  41
3.957  54
3.447  58
2.958  51
2.675  54
2.554  38

=====

# Ag3P2O8
Calculated powder XRD pattern, copper Kα. Input: a cell relaxed with GGA-PBE.
Intensities are scaled so that the largest is 100.

```
data_Ag3P2O8
_symmetry_space_group_name_H-M 'P 1'
_symmetry_Int_Tables_number 1
_cell_length_a 5.8778
_cell_length_b 5.8778
_cell_length_c 5.8778
_cell_angle_alpha 86.52
_cell_angle_beta 86.52
_cell_angle_gamma 86.52
loop_
_symmetry_equiv_pos_as_xyz
'x,y,z'
loop_
_atom_site_label
_atom_site_fract_x
_atom_site_fract_y
_atom_site_fract_z
_atom_site_occupancy
Ag1 0.0031 0.7356 0.2613 1
Ag2 0.2613 0.0031 0.7356 1
Ag3 0.7356 0.2613 0.0031 1
P1 0.2312 0.2312 0.2312 1
P2 0.7588 0.7588 0.7588 1
O1 0.0590 0.3772 0.3765 1
O2 0.0781 0.0781 0.0781 1
O3 0.3765 0.0590 0.3772 1
O4 0.3772 0.3765 0.0590 1
O5 0.6061 0.9561 0.8726 1
O6 0.6194 0.6194 0.6194 1
O7 0.8726 0.6061 0.9561 1
O8 0.9561 0.8726 0.6061 1
```

Largest 8 diffraction maxima, sorted by position, 2θ = 10–90°:
d_spacing  I/Imax
5.857  44
4.028  100
3.593  36
2.682  76
2.562  51
2.369  43
1.641  23
1.534  18

=====

# Ag2PO2
Calculated powder XRD pattern, copper Kα. Input: a cell relaxed with GGA-PBE.
Intensities are scaled so that the largest is 100.

```
data_Ag2PO2
_symmetry_space_group_name_H-M 'P 1'
_symmetry_Int_Tables_number 1
_cell_length_a 10.7310
_cell_length_b 10.0776
_cell_length_c 6.5321
_cell_angle_alpha 77.24
_cell_angle_beta 66.34
_cell_angle_gamma 36.42
loop_
_symmetry_equiv_pos_as_xyz
'x,y,z'
loop_
_atom_site_label
_atom_site_fract_x
_atom_site_fract_y
_atom_site_fract_z
_atom_site_occupancy
Ag1 0.1213 0.3071 0.3716 1
Ag2 0.3000 0.6284 0.6929 1
Ag3 0.3071 0.1213 0.7000 1
Ag4 0.3716 0.7000 0.1213 1
Ag5 0.6284 0.3000 0.8787 1
Ag6 0.6929 0.8787 0.3000 1
Ag7 0.7000 0.3716 0.3071 1
Ag8 0.8787 0.6929 0.6284 1
P1 0.0000 0.0000 0.0000 1
P2 0.0000 0.0000 0.5000 1
P3 0.0000 0.5000 0.0000 1
P4 0.5000 0.0000 0.0000 1
O1 0.0205 0.1383 0.4612 1
O2 0.1201 0.5388 0.8617 1
O3 0.1383 0.0205 0.8799 1
O4 0.4612 0.8799 0.0205 1
O5 0.5388 0.1201 0.9795 1
O6 0.8617 0.9795 0.1201 1
O7 0.8799 0.4612 0.1383 1
O8 0.9795 0.8617 0.5388 1
```

Largest 8 diffraction maxima, sorted by position, 2θ = 10–90°:
d_spacing  I/Imax
4.664  100
4.388  92
3.529  45
2.652  78
2.450  84
2.410  58
2.051  48
1.783  44

=====

What is the formula in the fourth record? AgO